[1]
Starting from a structure optimized by DFT (GGA-PBE), the powder X-ray diffraction pattern of LiDyZn10 was computed for Cu Kα (weighted mean of Kα1 and Kα2).
No peak broadening, texture or thermal motion is included.

Cell and atoms:
Cell lengths 4.308, 5.137, 9.115 Å; angles 90.00, 90.00, 90.00 degrees
Element x y z (fractional)
Li: 0.000 0.000 0.000
Dy: 0.000 0.500 0.500
Zn: 0.000 0.000 0.312
Zn: 0.000 0.000 0.688
Zn: 0.000 0.500 0.155
Zn: 0.000 0.500 0.845
Zn: 0.500 0.000 0.500
Zn: 0.500 0.257 0.259
Zn: 0.500 0.257 0.741
Zn: 0.500 0.500 0.000
Zn: 0.500 0.743 0.259
Zn: 0.500 0.743 0.741

The 10 most intense peaks (10 to 90 degrees two-theta), by angle:
2θ 28.77, I 17
2θ 33.52, I 18
2θ 34.29, I 15
2θ 39.55, I 14
2θ 40.34, I 100
2θ 40.91, I 39
2θ 41.94, I 40
2θ 45.69, I 29
2θ 66.31, I 16
2θ 87.20, I 18

***

[2]
Starting from a structure optimized by DFT (GGA-PBE), the powder X-ray diffraction pattern of Li2DyZn4 was computed for Cu Kα (weighted mean of Kα1 and Kα2).
No peak broadening, texture or thermal motion is included.

Cell and atoms:
Cell lengths 5.483, 5.483, 5.483 Å; angles 101.69, 101.69, 126.49 degrees
Element x y z (fractional)
Li: 0.250 0.750 0.500
Li: 0.750 0.250 0.500
Dy: 0.000 0.000 0.000
Zn: 0.308 0.308 0.616
Zn: 0.308 0.692 0.000
Zn: 0.692 0.308 0.000
Zn: 0.692 0.692 0.384

The 10 most intense peaks (10 to 90 degrees two-theta), by angle:
2θ 18.12, I 74
2θ 34.18, I 100
2θ 36.39, I 36
2θ 36.71, I 40
2θ 40.94, I 23
2θ 43.27, I 80
2θ 52.65, I 24
2θ 68.98, I 17
2θ 70.24, I 18
2θ 76.57, I 22

***

[3]
Starting from a structure optimized by DFT (GGA-PBE), the powder X-ray diffraction pattern of LiDy5Zn4 was computed for Cu Kα (weighted mean of Kα1 and Kα2).
No peak broadening, texture or thermal motion is included.

Cell and atoms:
Cell lengths 3.596, 3.596, 17.933 Å; angles 90.00, 90.00, 90.00 degrees
Element x y z (fractional)
Li: 0.000 0.000 0.000
Dy: 0.500 0.500 0.110
Dy: 0.500 0.500 0.304
Dy: 0.500 0.500 0.500
Dy: 0.500 0.500 0.696
Dy: 0.500 0.500 0.890
Zn: 0.000 0.000 0.204
Zn: 0.000 0.000 0.401
Zn: 0.000 0.000 0.599
Zn: 0.000 0.000 0.796

The 10 most intense peaks (10 to 90 degrees two-theta), by angle:
2θ 24.78, I 27
2θ 35.33, I 100
2θ 43.63, I 8
2θ 50.78, I 12
2θ 50.92, I 5
2θ 57.30, I 7
2θ 63.41, I 34
2θ 74.77, I 7
2θ 85.38, I 11
2θ 85.62, I 4